Entry 1:
Mn5BPd15: simulated powder diffraction line list (λ = 1.5418 Å (Cu Kα)), based on a cell relaxed with PBE.
Intensities are scaled so that the largest is 100.

Crystal structure
```
data_Mn5BPd15
_chemical_formula_sum 'Mn5 B1 Pd15'
_cell_length_a 4.045
_cell_length_b 4.045
_cell_length_c 19.321
_cell_angle_alpha 90.00
_cell_angle_beta 90.00
_cell_angle_gamma 90.00
_space_group_name_H-M_alt 'P 4/m m m'
_space_group_IT_number 123
_space_group_name_Hall '-P 4 2'
loop_
_atom_site_label
_atom_site_fract_x
_atom_site_fract_y
_atom_site_fract_z
Mn1 0.000 0.000 0.000
Mn2 0.000 0.000 0.196
Mn3 0.000 0.000 0.390
B1 0.500 0.500 0.500
Pd1 0.000 0.500 0.098
Pd2 0.000 0.500 0.294
Pd3 0.000 0.500 0.500
Pd4 0.500 0.500 0.000
Pd5 0.500 0.500 0.195
Pd6 0.500 0.500 0.393
```

Top 10 peaks for 10° ≤ 2θ ≤ 80°, by intensity:
2θ/deg  d [Å]  I (rel.)  (hkl)
39.19  2.299  100  1 1 5
44.82  2.022  35  2 0 0
78.82  1.214  24  3 1 5
66.98  1.397  18  2 0 10
47.03  1.932  14  0 0 10
65.24  1.430  11  2 2 0
21.98  4.045  5  1 0 0
32.03  2.794  3  1 0 5
23.02  3.864  2  0 0 5
31.27  2.860  2  1 1 0

***

Entry 2:
Sc2MnB2Rh5: simulated powder diffraction line list (λ = 1.5418 Å (Cu Kα)), based on a cell relaxed with PBE.
Intensities are scaled so that the largest is 100.

Crystal structure
```
data_Sc2MnB2Rh5
_chemical_formula_sum 'Sc4 Mn2 B4 Rh10'
_cell_length_a 9.407
_cell_length_b 9.407
_cell_length_c 3.065
_cell_angle_alpha 90.00
_cell_angle_beta 90.00
_cell_angle_gamma 90.00
_space_group_name_H-M_alt 'P 4/m b m'
_space_group_IT_number 127
_space_group_name_Hall '-P 4 2ab'
loop_
_atom_site_label
_atom_site_fract_x
_atom_site_fract_y
_atom_site_fract_z
Sc1 0.176 0.324 0.000
Mn1 0.000 0.000 0.000
B1 0.124 0.624 0.000
Rh1 0.000 0.500 0.500
Rh2 0.071 0.782 0.500
```

Top 10 peaks for 10° ≤ 2θ ≤ 80°, by intensity:
2θ/deg  d [Å]  I (rel.)  (hkl)
42.34  2.135  100  3 1 1
39.50  2.282  78  4 1 0
36.26  2.477  53  2 1 1
29.13  3.065  50  0 0 1
43.00  2.104  49  4 2 0
45.66  1.987  49  3 2 1
34.37  2.609  35  3 2 0
40.00  2.254  33  2 2 1
78.35  1.220  33  7 1 1
49.82  1.830  25  4 1 1